1.
Simulated powder XRD pattern of Na4MgGe2Se6 for Cu Kα (weighted mean of Kα1 and Kα2), from a DFT-relaxed cell (GGA-PBE, the Materials Project).
Neutral-atom scattering factors, no anomalous dispersion.

Atomic structure:
a = 7.194 Å, b = 7.194 Å, c = 7.153 Å
α = 98.99°, β = 98.99°, γ = 114.15°
Atoms (fractional coordinates):
Na 0.000 0.000 0.000
Na 0.171 0.829 0.500
Na 0.538 0.462 0.500
Na 0.847 0.153 0.500
Mg 0.363 0.637 0.000
Ge 0.522 0.150 0.943
Ge 0.850 0.478 0.057
Se 0.119 0.430 0.251
Se 0.283 0.252 0.764
Se 0.425 0.031 0.222
Se 0.570 0.881 0.749
Se 0.748 0.717 0.236
Se 0.969 0.575 0.778

Peak list (6 most intense, 2θ = 10–90°, sorted by position)
12.92 deg, I 16
23.76 deg, I 26
29.89 deg, I 100
41.36 deg, I 13
44.15 deg, I 31
45.04 deg, I 14

=====

2.
Simulated powder XRD pattern of Nd4Mg7Ge6 for Cu Kα (weighted mean of Kα1 and Kα2), from a DFT-relaxed cell (GGA-PBE, the Materials Project).
Neutral-atom scattering factors, no anomalous dispersion.

Atomic structure:
a = 8.631 Å, b = 8.631 Å, c = 12.560 Å
α = 121.14°, β = 121.14°, γ = 29.80°
Atoms (fractional coordinates):
Nd 0.130 0.130 0.339
Nd 0.234 0.234 0.113
Nd 0.766 0.766 0.887
Nd 0.870 0.870 0.661
Mg 0.000 0.000 0.000
Mg 0.190 0.190 0.653
Mg 0.438 0.438 0.103
Mg 0.460 0.460 0.361
Mg 0.540 0.540 0.639
Mg 0.562 0.562 0.897
Mg 0.810 0.810 0.347
Ge 0.109 0.109 0.812
Ge 0.350 0.350 0.477
Ge 0.379 0.379 0.848
Ge 0.621 0.621 0.152
Ge 0.650 0.650 0.523
Ge 0.891 0.891 0.188

Peak list (6 most intense, 2θ = 10–90°, sorted by position)
29.85 deg, I 48
30.21 deg, I 77
33.60 deg, I 92
35.02 deg, I 62
37.58 deg, I 100
40.65 deg, I 66

=====

3.
Simulated powder XRD pattern of MgNiGe for Cu Kα (weighted mean of Kα1 and Kα2), from a DFT-relaxed cell (GGA-PBE, the Materials Project).
Neutral-atom scattering factors, no anomalous dispersion.

Atomic structure:
a = 6.480 Å, b = 4.107 Å, c = 6.939 Å
α = 90.00°, β = 90.00°, γ = 90.00°
Atoms (fractional coordinates):
Mg 0.002 0.250 0.188
Mg 0.498 0.750 0.688
Mg 0.502 0.250 0.312
Mg 0.998 0.750 0.812
Ni 0.154 0.750 0.446
Ni 0.346 0.250 0.946
Ni 0.654 0.750 0.054
Ni 0.846 0.250 0.554
Ge 0.210 0.250 0.618
Ge 0.290 0.750 0.118
Ge 0.710 0.250 0.882
Ge 0.790 0.750 0.382

Peak list (6 most intense, 2θ = 10–90°, sorted by position)
18.74 deg, I 76
36.63 deg, I 67
37.67 deg, I 100
43.90 deg, I 63
44.12 deg, I 96
44.98 deg, I 80

=====

4.
Simulated powder XRD pattern of Mg6Ni16Ge7 for Cu Kα (weighted mean of Kα1 and Kα2), from a DFT-relaxed cell (GGA-PBE, the Materials Project).
Neutral-atom scattering factors, no anomalous dispersion.

Atomic structure:
a = 8.160 Å, b = 8.160 Å, c = 8.160 Å
α = 60.00°, β = 60.00°, γ = 60.00°
Atoms (fractional coordinates):
Mg 0.205 0.205 0.795
Mg 0.205 0.795 0.205
Mg 0.205 0.795 0.795
Mg 0.795 0.205 0.205
Mg 0.795 0.205 0.795
Mg 0.795 0.795 0.205
Ni 0.145 0.618 0.618
Ni 0.169 0.169 0.169
Ni 0.169 0.169 0.494
Ni 0.169 0.494 0.169
Ni 0.382 0.382 0.382
Ni 0.382 0.382 0.855
Ni 0.382 0.855 0.382
Ni 0.494 0.169 0.169
Ni 0.506 0.831 0.831
Ni 0.618 0.145 0.618
Ni 0.618 0.618 0.145
Ni 0.618 0.618 0.618
Ni 0.831 0.506 0.831
Ni 0.831 0.831 0.506
Ni 0.831 0.831 0.831
Ni 0.855 0.382 0.382
Ge 0.000 0.000 0.500
Ge 0.000 0.500 0.000
Ge 0.000 0.500 0.500
Ge 0.500 0.000 0.000
Ge 0.500 0.000 0.500
Ge 0.500 0.500 0.000
Ge 0.500 0.500 0.500

Peak list (6 most intense, 2θ = 10–90°, sorted by position)
13.29 deg, I 29
15.36 deg, I 29
40.62 deg, I 36
44.41 deg, I 100
46.56 deg, I 34
52.61 deg, I 27

=====

5.
Simulated powder XRD pattern of MgGeO3 for Cu Kα (weighted mean of Kα1 and Kα2), from a DFT-relaxed cell (GGA-PBE, the Materials Project).
Neutral-atom scattering factors, no anomalous dispersion.

Atomic structure:
a = 6.648 Å, b = 6.648 Å, c = 5.232 Å
α = 98.12°, β = 98.12°, γ = 85.95°
Atoms (fractional coordinates):
Mg 0.094 0.906 0.750
Mg 0.270 0.730 0.250
Mg 0.730 0.270 0.750
Mg 0.906 0.094 0.250
Ge 0.205 0.394 0.711
Ge 0.394 0.205 0.211
Ge 0.606 0.795 0.789
Ge 0.795 0.606 0.289
O 0.025 0.206 0.632
O 0.141 0.626 0.882
O 0.206 0.025 0.132
O 0.291 0.430 0.404
O 0.374 0.859 0.618
O 0.430 0.291 0.904
O 0.570 0.709 0.096
O 0.626 0.141 0.382
O 0.709 0.570 0.596
O 0.794 0.975 0.868
O 0.859 0.374 0.118
O 0.975 0.794 0.368

Peak list (6 most intense, 2θ = 10–90°, sorted by position)
26.23 deg, I 100
29.76 deg, I 92
30.28 deg, I 71
34.30 deg, I 86
34.81 deg, I 62
61.38 deg, I 62

=====

6.
Simulated powder XRD pattern of MgGeO3 for Cu Kα (weighted mean of Kα1 and Kα2), from a DFT-relaxed cell (GGA-PBE, the Materials Project).
Neutral-atom scattering factors, no anomalous dispersion.

Atomic structure:
a = 5.470 Å, b = 5.470 Å, c = 5.470 Å
α = 54.54°, β = 54.54°, γ = 54.54°
Atoms (fractional coordinates):
Mg 0.141 0.141 0.141
Mg 0.859 0.859 0.859
Ge 0.347 0.347 0.347
Ge 0.653 0.653 0.653
O 0.059 0.719 0.454
O 0.281 0.546 0.941
O 0.454 0.059 0.719
O 0.546 0.941 0.281
O 0.719 0.454 0.059
O 0.941 0.281 0.546

Peak list (6 most intense, 2θ = 10–90°, sorted by position)
19.12 deg, I 70
24.16 deg, I 56
32.98 deg, I 100
35.82 deg, I 84
40.92 deg, I 73
53.83 deg, I 85

=====

7.
Simulated powder XRD pattern of MgGeO3 for Cu Kα (weighted mean of Kα1 and Kα2), from a DFT-relaxed cell (GGA-PBE, the Materials Project).
Neutral-atom scattering factors, no anomalous dispersion.

Atomic structure:
a = 3.718 Å, b = 3.718 Å, c = 3.718 Å
α = 90.00°, β = 90.00°, γ = 90.00°
Atoms (fractional coordinates):
Mg 0.000 0.000 0.000
Ge 0.500 0.500 0.500
O 0.000 0.500 0.500
O 0.500 0.000 0.500
O 0.500 0.500 0.000

Peak list (6 most intense, 2θ = 10–90°, sorted by position)
23.93 deg, I 79
34.10 deg, I 100
49.00 deg, I 52
55.24 deg, I 28
61.04 deg, I 39
71.81 deg, I 29